The following is a simulated powder diffraction line list of K2MnO4. It was derived from the GGA+U geometry in the Materials Project, using Cu Kα (weighted mean of Kα1 and Kα2).

Structure:
abc: 7.782 5.977 10.577
angles: 90.00 90.00 90.00
Space group Pnma (No. 62)
Inequivalent atoms, fractional coordinates:
K 0.012 0.250 0.198
K 0.165 0.750 0.416
Mn 0.229 0.750 0.079
O 0.016 0.750 0.080
O 0.194 0.024 0.652
O 0.202 0.250 0.429

Principal peaks in the range 10° ≤ 2θ ≤ 80°, low angle first:
2θ/deg	intensity	h k l
20.30	24.4	1 0 2
20.53	46.7	1 1 1
22.86	21.8	2 0 0
28.48	29.0	2 0 2
28.65	58.3	2 1 1
29.41	100.0	0 1 3
29.90	63.2	0 2 0
35.64	19.9	3 0 1
38.97	30.9	2 2 1
41.76	30.1	2 2 2

The following is a simulated powder diffraction line list of Ba2Co2O5. It was derived from the GGA+U geometry in the Materials Project, using Cu Kα (weighted mean of Kα1 and Kα2).

Structure:
abc: 5.613 5.677 9.652
angles: 106.92 106.72 90.61
Space group P1 (No. 1)
Inequivalent atoms, fractional coordinates:
Ba 0.000 0.000 0.000
Ba 0.222 0.227 0.446
Ba 0.498 0.503 0.999
Ba 0.722 0.722 0.445
Co 0.110 0.612 0.219
Co 0.394 0.932 0.722
Co 0.613 0.116 0.226
Co 0.885 0.291 0.722
O 0.216 0.206 0.722
O 0.263 0.754 0.530
O 0.363 0.364 0.221
O 0.364 0.864 0.221
O 0.455 0.946 0.914
O 0.723 0.990 0.722
O 0.753 0.292 0.529
O 0.863 0.867 0.224
O 0.864 0.363 0.223
O 0.947 0.485 0.916

Principal peaks in the range 10° ≤ 2θ ≤ 80°, low angle first:
2θ/deg	intensity	h k l
30.15	100.0	1 -1 2
30.33	98.5	1 1 1
31.52	51.9	0 2 -1
31.89	55.9	2 0 -1
37.72	20.7	0 2 1
38.02	30.9	2 0 1
41.04	27.6	0 0 4
45.19	25.9	2 -2 0
45.70	24.8	2 2 -2
55.64	18.7	3 -1 1

The following is a simulated powder diffraction line list of V4O9. It was derived from the GGA+U geometry in the Materials Project, using Cu Kα (weighted mean of Kα1 and Kα2).

Structure:
abc: 10.799 8.702 15.163
angles: 90.00 90.00 90.00
Space group Cmcm (No. 63)
Inequivalent atoms, fractional coordinates:
V 0.000 0.178 0.126
V 0.000 0.192 0.632
V 0.213 0.497 0.115
O 0.000 0.168 0.250
O 0.000 0.181 0.750
O 0.000 0.189 0.008
O 0.124 0.010 0.632
O 0.132 0.337 0.640
O 0.137 0.336 0.143
O 0.206 0.500 0.000

Principal peaks in the range 10° ≤ 2θ ≤ 80°, low angle first:
2θ/deg	intensity	h k l
23.47	100.0	0 0 4
26.31	91.5	2 2 0
26.80	45.2	3 1 0
35.54	29.5	2 2 4
35.92	13.4	3 1 4
48.00	19.3	0 0 8
52.85	24.4	5 3 0
55.56	15.7	2 2 8
58.59	15.9	5 3 4
74.16	12.9	5 3 8